Entry 1:
# V3CrNi2P6O24
Simulated PXRD pattern, Cu Kα (weighted mean of Kα1 and Kα2). Input: a structure optimized by DFT (PBE+U).
Neutral-atom scattering factors, no anomalous dispersion.

Principal peaks in the range 2θ = 5–70°, in order of rising 2θ:
h k l	2theta	d_spacing	intensity
1 1 0	20.66	4.299	81
2 -1 3	24.44	3.643	100
2 -1 6	33.42	2.681	65
3 0 0	36.19	2.482	36
3 -2 8	47.91	1.899	34
2 2 6	50.08	1.821	25

Cell and atoms:
a = 8.5978 Å, b = 8.5978 Å, c = 20.5773 Å
α = 90.00°, β = 90.00°, γ = 120.00°
Space group R3 (No. 146, hexagonal axes)
Asymmetric unit:
V1 0.0000 0.0000 0.0000 [3 per cell]
V2 0.0000 0.0000 0.2152 [3 per cell]
V3 0.0000 0.0000 0.4995 [3 per cell]
Cr1 0.0000 0.0000 0.7167 [3 per cell]
Ni1 0.0000 0.0000 0.3572 [3 per cell]
Ni2 0.0000 0.0000 0.8577 [3 per cell]
P1 0.9999 0.2932 0.1071 [9 per cell]
P2 0.0000 0.7070 0.6085 [9 per cell]
O1 0.0022 0.8027 0.6704 [9 per cell]
O2 0.0084 0.1953 0.1689 [9 per cell]
O3 0.0132 0.8348 0.2807 [9 per cell]
O4 0.0214 0.1857 0.7837 [9 per cell]
O5 0.1380 0.6715 0.2134 [9 per cell]
O6 0.1458 0.4727 0.7125 [9 per cell]
O7 0.1665 0.4812 0.0975 [9 per cell]
O8 0.1699 0.6835 0.6018 [9 per cell]

---

Entry 2:
# V3Cr2NiP6O24
Simulated PXRD pattern, Cu Kα (weighted mean of Kα1 and Kα2). Input: a structure optimized by DFT (PBE+U).
Neutral-atom scattering factors, no anomalous dispersion.

Principal peaks in the range 2θ = 5–70°, in order of rising 2θ:
h k l	2theta	d_spacing	intensity
1 1 0	20.64	4.302	73
1 1 3	24.43	3.643	100
2 -1 6	33.44	2.679	62
3 0 0	36.16	2.484	35
3 -2 8	47.93	1.898	28
4 -2 6	50.07	1.822	24

Cell and atoms:
a = 8.6049 Å, b = 8.6049 Å, c = 20.5477 Å
α = 90.00°, β = 90.00°, γ = 120.00°
Space group R3 (No. 146, hexagonal axes)
Asymmetric unit:
V1 0.0000 0.0000 0.0000 [3 per cell]
V2 0.0000 0.0000 0.2120 [3 per cell]
V3 0.0000 0.0000 0.5010 [3 per cell]
Cr1 0.0000 0.0000 0.3559 [3 per cell]
Cr2 0.0000 0.0000 0.8556 [3 per cell]
Ni1 0.0000 0.0000 0.7133 [3 per cell]
P1 0.0017 0.2958 0.6073 [9 per cell]
P2 0.0388 0.6673 0.7741 [9 per cell]
O1 0.0052 0.2082 0.6695 [9 per cell]
O2 0.0083 0.1759 0.2788 [9 per cell]
O3 0.0157 0.8169 0.1683 [9 per cell]
O4 0.0189 0.8343 0.7867 [9 per cell]
O5 0.1393 0.6731 0.7131 [9 per cell]
O6 0.1407 0.4689 0.2123 [9 per cell]
O7 0.1682 0.6819 0.0994 [9 per cell]
O8 0.1690 0.4884 0.5957 [9 per cell]